Entry 1:
Diffraction record for MgSi. The X-ray diffraction stick pattern is simulated, not measured: it uses a cell relaxed with GGA-PBE and CuKα.
Kinematic intensities with the Lorentz-polarization factor, no thermal factor.

Cell and atoms:
```
MgSi
1.0
3.005 0.000 0.000
0.000 10.852 0.000
0.000 0.000 4.340
Mg Si
4 4
Direct
0.000 0.168 0.250
0.000 0.832 0.750
0.500 0.332 0.750
0.500 0.668 0.250
0.000 0.429 0.250
0.000 0.571 0.750
0.500 0.071 0.750
0.500 0.929 0.250
```

Peak list (6 most intense, 10 to 90 degrees two-theta, in order of falling intensity)
37.33 deg, 2.409 Å, I 100; 39.16 deg, 2.301 Å, I 93; 41.62 deg, 2.170 Å, I 44; 38.96 deg, 2.311 Å, I 39; 44.40 deg, 2.040 Å, I 36; 75.59 deg, 1.258 Å, I 25

=====

Entry 2:
Diffraction record for MgTe2MoW3Se4S2. The X-ray diffraction stick pattern is simulated, not measured: it uses a cell relaxed with GGA-PBE and CuKα.
Kinematic intensities with the Lorentz-polarization factor, no thermal factor.

Cell and atoms:
```
MgTe2MoW3Se4S2
1.0
2.889 -1.668 0.000
2.889 1.668 0.000
-0.158 0.000 45.176
Mg Te Mo W Se S
1 2 1 3 4 2
Direct
0.000 0.000 0.000
0.667 0.667 0.673
0.669 0.669 0.757
0.001 0.001 0.715
0.668 0.668 0.279
0.668 0.668 0.898
0.999 0.999 0.100
0.000 0.000 0.242
0.000 0.000 0.861
0.002 0.002 0.316
0.002 0.002 0.935
0.665 0.665 0.066
0.666 0.666 0.133
```

Peak list (6 most intense, 10 to 90 degrees two-theta, in order of falling intensity)
34.88 deg, 2.572 Å, I 100; 30.97 deg, 2.887 Å, I 85; 11.75 deg, 7.529 Å, I 84; 40.56 deg, 2.224 Å, I 67; 40.66 deg, 2.219 Å, I 66; 55.06 deg, 1.668 Å, I 56

=====

Entry 3:
Diffraction record for Nd2CdPd2. The X-ray diffraction stick pattern is simulated, not measured: it uses a cell relaxed with GGA-PBE and CuKα.
Kinematic intensities with the Lorentz-polarization factor, no thermal factor.

Cell and atoms:
```
Nd2CdPd2
1.0
7.841 0.000 0.000
0.000 7.841 0.000
0.000 0.000 3.951
Nd Cd Pd
4 2 4
Direct
0.174 0.326 0.000
0.326 0.826 0.000
0.674 0.174 0.000
0.826 0.674 0.000
0.000 0.000 0.500
0.500 0.500 0.500
0.128 0.628 0.500
0.372 0.128 0.500
0.628 0.872 0.500
0.872 0.372 0.500
```

Peak list (6 most intense, 10 to 90 degrees two-theta, in order of falling intensity)
34.19 deg, 2.623 Å, I 100; 36.23 deg, 2.480 Å, I 41; 32.17 deg, 2.783 Å, I 33; 59.86 deg, 1.545 Å, I 19; 45.94 deg, 1.975 Å, I 16; 53.47 deg, 1.714 Å, I 14

=====

Entry 4:
Diffraction record for GdYH4. The X-ray diffraction stick pattern is simulated, not measured: it uses a cell relaxed with GGA-PBE and CuKα.
Kinematic intensities with the Lorentz-polarization factor, no thermal factor.

Cell and atoms:
```
GdYH4
1.0
3.660 0.000 0.000
0.000 3.660 0.000
0.000 0.000 5.183
Gd Y H
1 1 4
Direct
0.000 0.000 0.000
0.500 0.500 0.500
0.000 0.500 0.251
0.000 0.500 0.749
0.500 0.000 0.251
0.500 0.000 0.749
```

Peak list (6 most intense, 10 to 90 degrees two-theta, in order of falling intensity)
29.88 deg, 2.990 Å, I 100; 34.64 deg, 2.589 Å, I 48; 59.17 deg, 1.561 Å, I 43; 49.80 deg, 1.831 Å, I 37; 80.91 deg, 1.188 Å, I 17; 62.09 deg, 1.495 Å, I 12

=====

Entry 5:
Diffraction record for K8MgSi8O24. The X-ray diffraction stick pattern is simulated, not measured: it uses a cell relaxed with GGA-PBE and CuKα.
Kinematic intensities with the Lorentz-polarization factor, no thermal factor.

Cell and atoms:
```
K8MgSi8O24
1.0
8.265 0.000 0.000
-0.913 8.228 0.000
-0.217 -0.217 10.272
K Mg Si O
8 1 8 24
Direct
0.000 0.000 0.000
0.012 0.025 0.527
0.185 0.709 0.746
0.314 0.759 0.246
0.495 0.511 0.999
0.527 0.524 0.522
0.768 0.205 0.278
0.812 0.337 0.778
0.384 0.141 0.261
0.178 0.345 0.265
0.298 0.224 0.761
0.463 0.019 0.970
0.506 0.058 0.554
0.671 0.852 0.762
0.800 0.721 0.260
0.975 0.526 0.069
0.996 0.545 0.455
0.015 0.556 0.919
0.055 0.378 0.387
0.102 0.191 0.779
0.136 0.475 0.151
0.136 0.699 0.469
0.145 0.154 0.221
0.319 0.870 0.976
0.332 0.419 0.740
0.347 0.111 0.637
0.371 0.377 0.303
0.406 0.177 0.890
0.438 0.009 0.408
0.515 0.084 0.116
0.563 0.898 0.632
0.611 0.695 0.215
0.623 0.965 0.888
0.638 0.657 0.784
0.653 0.204 0.548
0.822 0.385 0.055
0.829 0.907 0.313
0.832 0.581 0.369
0.867 0.882 0.745
0.931 0.696 0.142
0.953 0.518 0.606
```

Peak list (6 most intense, 10 to 90 degrees two-theta, in order of falling intensity)
27.49 deg, 3.244 Å, I 100; 28.97 deg, 3.082 Å, I 42; 28.07 deg, 3.179 Å, I 41; 28.14 deg, 3.171 Å, I 35; 32.47 deg, 2.757 Å, I 22; 34.93 deg, 2.568 Å, I 20

=====

Entry 6:
Diffraction record for CdAu. The X-ray diffraction stick pattern is simulated, not measured: it uses a cell relaxed with GGA-PBE and CuKα.
Kinematic intensities with the Lorentz-polarization factor, no thermal factor.

Cell and atoms:
```
CdAu
1.0
8.222 0.000 0.000
-4.111 7.121 0.000
0.000 0.000 6.033
Cd Au
9 9
Direct
0.000 0.000 0.000
0.000 0.311 0.269
0.000 0.646 0.563
0.311 0.000 0.269
0.333 0.667 0.850
0.354 0.354 0.563
0.646 0.000 0.563
0.667 0.333 0.850
0.689 0.689 0.269
0.000 0.000 0.514
0.000 0.312 0.772
0.000 0.642 0.063
0.312 0.000 0.772
0.333 0.667 0.339
0.358 0.358 0.063
0.642 0.000 0.063
0.667 0.333 0.339
0.688 0.688 0.772
```

Peak list (6 most intense, 10 to 90 degrees two-theta, in order of falling intensity)
37.91 deg, 2.374 Å, I 100; 36.96 deg, 2.432 Å, I 87; 53.98 deg, 1.699 Å, I 26; 67.85 deg, 1.381 Å, I 23; 39.14 deg, 2.302 Å, I 17; 26.23 deg, 3.397 Å, I 16

=====

Entry 7:
Diffraction record for Ba2TbPaO6. The X-ray diffraction stick pattern is simulated, not measured: it uses a cell relaxed with GGA-PBE and CuKα.
Kinematic intensities with the Lorentz-polarization factor, no thermal factor.

Cell and atoms:
```
Ba2TbPaO6
1.0
0.000 4.445 4.445
4.445 0.000 4.445
4.445 4.445 0.000
Ba Tb Pa O
2 1 1 6
Direct
0.250 0.250 0.250
0.750 0.750 0.750
0.000 0.000 0.000
0.500 0.500 0.500
0.255 0.255 0.745
0.255 0.745 0.255
0.255 0.745 0.745
0.745 0.255 0.255
0.745 0.255 0.745
0.745 0.745 0.255
```

Peak list (6 most intense, 10 to 90 degrees two-theta, in order of falling intensity)
28.40 deg, 3.143 Å, I 100; 50.28 deg, 1.815 Å, I 42; 40.59 deg, 2.223 Å, I 28; 80.92 deg, 1.188 Å, I 22; 66.52 deg, 1.406 Å, I 19; 58.75 deg, 1.572 Å, I 18